Diffraction record for Mn2CuO3. The X-ray diffraction stick pattern is simulated, not measured: it uses the PBE+U geometry in Alexandria and Cu Kα, 1.54184 Å.
Lines closer than 0.1° are merged.

Crystal structure
Cell lengths 3.063, 3.766, 11.643 Å; angles 90.00, 90.00, 90.00 degrees
Space group Immm (No. 71)
Unique sites:
Mn: 0.000 0.000 0.153
Cu: 0.000 0.000 0.500
O: 0.000 0.000 0.333
O: 0.000 0.500 0.500

Principal peaks in the range 2θ = 10–90°, by angle:
index, two_theta, I (rel.)
0 1 3, 33.15, 60
1 0 3, 37.40, 69
1 1 0, 37.86, 100
0 0 6, 46.82, 30
0 2 0, 48.34, 31
2 0 0, 60.44, 15
1 1 6, 61.71, 35
1 2 3, 62.67, 28
0 2 6, 69.57, 16
2 1 3, 70.69, 13